Structure and simulated XRD peak list of HoPu3S4 (a cell relaxed with GGA-PBE; Cu Ka).
Intensities are scaled so that the largest is 100.

Crystal structure
```
data_HoPu3S4
_chemical_formula_sum 'Ho2 Pu6 S8'
_cell_length_a 7.8648
_cell_length_b 11.1654
_cell_length_c 3.9370
_cell_angle_alpha 90.00
_cell_angle_beta 90.00
_cell_angle_gamma 90.00
_symmetry_space_group_name_H-M 'C m m m'
_symmetry_Int_Tables_number 65
_symmetry_space_group_name_Hall '-C 2 2'
loop_
_atom_site_label
_atom_site_fract_x
_atom_site_fract_y
_atom_site_fract_z
Ho1 0.0000 0.0000 0.0000
Pu1 0.0000 0.5000 0.0000
Pu2 0.2500 0.2500 0.5000
S1 0.0000 0.2471 0.0000
S2 0.2466 0.0000 0.5000
```

Main lines, in order of rising 2θ (10 to 90 degrees two-theta):
hkl	2θ (°)	I/Imax
2 2 0	27.7	100.0
0 4 0	32.1	32.8
2 0 1	32.2	65.0
2 4 1	46.1	60.2
4 2 1	54.7	33.3
4 4 0	57.3	25.4